(1)
Computed powder X-ray diffraction pattern of LiGe2S4 for Cu Kα X-rays, from a cell relaxed with GGA-PBE.

Cell and atoms:
```
data_LiGe2S4
_cell_length_a 6.076
_cell_length_b 10.095
_cell_length_c 10.115
_cell_angle_alpha 90.00
_cell_angle_beta 90.00
_cell_angle_gamma 90.00
_space_group_name_H-M_alt 'C c c m'
_space_group_IT_number 66
_space_group_name_Hall '-C 2 2c'
loop_
_atom_site_label
_atom_site_fract_x
_atom_site_fract_y
_atom_site_fract_z
Li1 0.000 0.000 0.250
Ge1 0.000 0.266 0.000
S1 0.215 0.074 0.000
S2 0.250 0.250 0.328
```

The 6 most intense peaks (2θ = 10–90°), by angle:
| 2theta | d_spacing | intensity | (hkl) |
| --- | --- | --- | --- |
| 17.55 | 5.053 | 100.0 | 0 0 2 |
| 31.64 | 2.828 | 28.3 | 1 1 3 |
| 34.45 | 2.604 | 16.9 | 2 0 2 |
| 35.53 | 2.526 | 21.0 | 0 0 4 |
| 38.91 | 2.314 | 43.5 | 2 2 2 |
| 50.33 | 1.813 | 30.2 | 2 2 4 |

---

(2)
Computed powder X-ray diffraction pattern of Cr3Mo4 for Cu Kα X-rays, from a cell relaxed with GGA-PBE.

Cell and atoms:
```
data_Cr3Mo4
_cell_length_a 3.049
_cell_length_b 3.049
_cell_length_c 21.320
_cell_angle_alpha 90.00
_cell_angle_beta 90.00
_cell_angle_gamma 90.00
_space_group_name_H-M_alt 'I 4/m m m'
_space_group_IT_number 139
_space_group_name_Hall '-I 4 2'
loop_
_atom_site_label
_atom_site_fract_x
_atom_site_fract_y
_atom_site_fract_z
Cr1 0.000 0.000 0.000
Cr2 0.000 0.000 0.283
Mo1 0.000 0.000 0.148
Mo2 0.000 0.000 0.430
```

The 6 most intense peaks (2θ = 10–90°), by angle:
| 2theta | d_spacing | intensity | (hkl) |
| --- | --- | --- | --- |
| 16.63 | 5.330 | 3.3 | 0 0 4 |
| 31.94 | 2.802 | 6.1 | 1 0 3 |
| 41.92 | 2.155 | 100.0 | 1 1 0 |
| 60.78 | 1.524 | 15.4 | 2 0 0 |
| 61.14 | 1.516 | 1.5 | 1 1 10 |
| 76.57 | 1.244 | 30.5 | 2 1 7 |

---

(3)
Computed powder X-ray diffraction pattern of Y2Mg2Cd for Cu Kα X-rays, from a cell relaxed with GGA-PBE.

Cell and atoms:
```
data_Y2Mg2Cd
_cell_length_a 11.290
_cell_length_b 5.196
_cell_length_c 9.414
_cell_angle_alpha 90.00
_cell_angle_beta 108.93
_cell_angle_gamma 90.00
_space_group_name_H-M_alt 'C 1 2/m 1'
_space_group_IT_number 12
_space_group_name_Hall '-C 2y'
loop_
_atom_site_label
_atom_site_fract_x
_atom_site_fract_y
_atom_site_fract_z
Y1 0.042 0.000 0.347
Y2 0.164 0.000 0.060
Mg1 0.023 0.500 0.858
Mg2 0.141 0.500 0.578
Cd1 0.245 0.500 0.291
```

The 6 most intense peaks (2θ = 10–90°), by angle:
| 2theta | d_spacing | intensity | (hkl) |
| --- | --- | --- | --- |
| 18.99 | 4.673 | 31.6 | 1 1 0 |
| 31.69 | 2.823 | 43.8 | 3 1 -2 |
| 33.05 | 2.710 | 47.5 | 4 0 -2 |
| 33.39 | 2.684 | 91.4 | 1 1 -3 |
| 34.52 | 2.598 | 53.6 | 0 2 0 |
| 34.63 | 2.590 | 100.0 | 3 1 1 |

---

(4)
Computed powder X-ray diffraction pattern of CuAu6 for Cu Kα X-rays, from a cell relaxed with GGA-PBE.

Cell and atoms:
```
data_CuAu6
_cell_length_a 4.038
_cell_length_b 4.038
_cell_length_c 8.065
_cell_angle_alpha 90.00
_cell_angle_beta 90.00
_cell_angle_gamma 90.00
_space_group_name_H-M_alt 'P 4/m m m'
_space_group_IT_number 123
_space_group_name_Hall '-P 4 2'
loop_
_atom_site_label
_atom_site_fract_x
_atom_site_fract_y
_atom_site_fract_z
Cu1 0.000 0.000 0.000
Au1 0.000 0.000 0.500
Au2 0.000 0.500 0.253
Au3 0.500 0.500 0.000
```

The 6 most intense peaks (2θ = 10–90°), by angle:
| 2theta | d_spacing | intensity | (hkl) |
| --- | --- | --- | --- |
| 24.66 | 3.610 | 21.1 | 1 0 1 |
| 38.64 | 2.330 | 100.0 | 1 1 2 |
| 44.92 | 2.018 | 49.2 | 2 0 0 |
| 65.40 | 1.427 | 32.4 | 2 2 0 |
| 78.62 | 1.217 | 39.1 | 3 1 2 |
| 82.86 | 1.165 | 11.5 | 2 2 4 |

---

(5)
Computed powder X-ray diffraction pattern of Ce2Al3PdPt4 for Cu Kα X-rays, from a cell relaxed with GGA-PBE.

Cell and atoms:
```
data_Ce2Al3PdPt4
_cell_length_a 4.054
_cell_length_b 4.054
_cell_length_c 11.570
_cell_angle_alpha 90.00
_cell_angle_beta 90.00
_cell_angle_gamma 90.00
_space_group_name_H-M_alt 'P -4 m 2'
_space_group_IT_number 115
_space_group_name_Hall 'P -4 -2'
loop_
_atom_site_label
_atom_site_fract_x
_atom_site_fract_y
_atom_site_fract_z
Ce1 0.000 0.500 0.240
Al1 0.000 0.000 0.000
Al2 0.000 0.500 0.625
Pd1 0.500 0.500 0.000
Pt1 0.000 0.000 0.500
Pt2 0.000 0.500 0.838
Pt3 0.500 0.500 0.500
```

The 6 most intense peaks (2θ = 10–90°), by angle:
| 2theta | d_spacing | intensity | (hkl) |
| --- | --- | --- | --- |
| 23.06 | 3.857 | 31.1 | 0 0 3 |
| 32.17 | 2.783 | 24.1 | 1 1 1 |
| 34.93 | 2.569 | 100.0 | 1 1 2 |
| 44.71 | 2.027 | 41.0 | 2 0 0 |
| 45.11 | 2.010 | 23.1 | 1 0 5 |
| 76.04 | 1.252 | 21.1 | 3 1 2 |

---

(6)
Computed powder X-ray diffraction pattern of ErTm2Ag2 for Cu Kα X-rays, from a cell relaxed with GGA-PBE.

Cell and atoms:
```
data_ErTm2Ag2
_cell_length_a 3.579
_cell_length_b 5.184
_cell_length_c 13.391
_cell_angle_alpha 90.00
_cell_angle_beta 97.68
_cell_angle_gamma 90.00
_space_group_name_H-M_alt 'P 1 21/m 1'
_space_group_IT_number 11
_space_group_name_Hall '-P 2yb'
loop_
_atom_site_label
_atom_site_fract_x
_atom_site_fract_y
_atom_site_fract_z
Er1 0.146 0.250 0.292
Tm1 0.047 0.750 0.095
Tm2 0.234 0.750 0.468
Ag1 0.358 0.250 0.716
Ag2 0.453 0.750 0.905
```

The 6 most intense peaks (2θ = 10–90°), by angle:
| 2theta | d_spacing | intensity | (hkl) |
| --- | --- | --- | --- |
| 33.77 | 2.654 | 21.8 | 0 0 5 |
| 34.60 | 2.592 | 27.4 | 0 2 0 |
| 34.84 | 2.575 | 100.0 | 1 1 2 |
| 49.13 | 1.854 | 15.0 | 0 2 5 |
| 61.09 | 1.517 | 10.6 | 1 1 7 |
| 62.16 | 1.493 | 18.4 | 1 3 2 |

---

(7)
Computed powder X-ray diffraction pattern of Sc2Ag4Te5 for Cu Kα X-rays, from a cell relaxed with GGA-PBE.

Cell and atoms:
```
data_Sc2Ag4Te5
_cell_length_a 4.3232
_cell_length_b 4.3232
_cell_length_c 57.3847
_cell_angle_alpha 90.00
_cell_angle_beta 90.00
_cell_angle_gamma 120.00
_space_group_name_H-M_alt 'R -3 m'
_space_group_IT_number 166
_space_group_name_Hall '-R 3 2"'
loop_
_atom_site_label
_atom_site_fract_x
_atom_site_fract_y
_atom_site_fract_z
Sc1 0.0000 0.0000 0.1378
Ag1 0.0000 0.0000 0.3177
Ag2 0.0000 0.0000 0.4166
Te1 0.0000 0.0000 0.2243
Te2 0.0000 0.0000 0.3692
Te3 0.0000 0.0000 0.5000
```

The 6 most intense peaks (2θ = 10–90°), by angle:
| 2theta | d_spacing | intensity | (hkl) |
| --- | --- | --- | --- |
| 23.82 | 3.736 | 77.7 | 1 0 1 |
| 29.36 | 3.042 | 83.0 | 0 1 11 |
| 32.39 | 2.764 | 22.1 | 0 1 14 |
| 39.57 | 2.277 | 26.6 | 0 1 20 |
| 41.79 | 2.162 | 100.0 | 1 1 0 |
| 42.23 | 2.140 | 65.9 | 1 0 22 |

---

(8)
Computed powder X-ray diffraction pattern of Dy2Zn3Ga for Cu Kα X-rays, from a cell relaxed with GGA-PBE.

Cell and atoms:
```
data_Dy2Zn3Ga
_cell_length_a 3.940
_cell_length_b 4.212
_cell_length_c 15.212
_cell_angle_alpha 90.00
_cell_angle_beta 90.00
_cell_angle_gamma 90.00
_space_group_name_H-M_alt 'I m m 2'
_space_group_IT_number 44
_space_group_name_Hall 'I 2 -2'
loop_
_atom_site_label
_atom_site_fract_x
_atom_site_fract_y
_atom_site_fract_z
Dy1 0.000 0.000 0.000
Dy2 0.000 0.500 0.248
Zn1 0.000 0.000 0.420
Zn2 0.000 0.500 0.666
Zn3 0.000 0.500 0.828
Ga1 0.000 0.000 0.583
```

The 6 most intense peaks (2θ = 10–90°), by angle:
| 2theta | d_spacing | intensity | (hkl) |
| --- | --- | --- | --- |
| 27.53 | 3.240 | 18.0 | 0 1 3 |
| 33.29 | 2.691 | 100.0 | 1 1 2 |
| 36.43 | 2.466 | 25.4 | 0 1 5 |
| 37.34 | 2.408 | 28.3 | 1 0 5 |
| 42.95 | 2.106 | 20.6 | 0 2 0 |
| 46.07 | 1.970 | 16.8 | 2 0 0 |